The following is a computed powder diffraction line list of Nb14IrPt. It was derived from DFT lattice parameters and positions (GGA-PBE), using Cu Kα (weighted mean of Kα1 and Kα2).
No peak broadening, texture or thermal motion is included.

Top 10 peaks for 2θ from 10° to 80°, by angle:
2θ/deg  I_rel  hkl
19.0  1  0 2 0
19.4  1  0 0 2
21.4  2  0 2 1
38.6  100  0 4 0
39.3  19  0 0 4
55.2  7  4 0 0
56.3  13  0 4 4
69.4  7  4 4 0
69.9  20  2 6 2
70.8  13  2 2 6

Structure:
```
data_Nb14IrPt
_cell_length_a 6.6524
_cell_length_b 9.3190
_cell_length_c 9.1709
_cell_angle_alpha 90.00
_cell_angle_beta 90.00
_cell_angle_gamma 90.00
_space_group_name_H-M_alt 'C m m m'
_space_group_IT_number 65
_space_group_name_Hall '-C 2 2'
loop_
_atom_site_label
_atom_site_type_symbol
_atom_site_fract_x
_atom_site_fract_y
_atom_site_fract_z
Nb1 Nb 0.0000 0.0000 0.0000
Nb2 Nb 0.0000 0.2491 0.2554
Nb3 Nb 0.0000 0.5000 0.0000
Nb4 Nb 0.2461 0.5000 0.2554
Nb5 Nb 0.2500 0.2500 0.0000
Nb6 Nb 0.2500 0.2500 0.5000
Ir1 Ir 0.0000 0.5000 0.5000
Pt1 Pt 0.0000 0.0000 0.5000
```